Computed XRD peak list of Ac8Y3Tm2 for Cu Ka, from a structure optimized by DFT (GGA-PBE).

Atomic structure:
```
Ac8Y3Tm2
1.0
6.6256 0.0000 0.0000
1.1100 6.5530 0.0000
2.2464 -0.3721 11.8175
Ac Y Tm
8 3 2
Cartesian
1.1532 0.4067 4.1210
3.3597 2.2522 8.5875
3.2679 4.4990 1.3547
5.5398 5.2535 9.5588
4.4422 0.9273 2.2588
6.7141 1.6818 10.4628
6.6223 3.9286 3.2300
8.8289 5.7742 7.6965
3.3699 3.3666 5.0418
4.4360 -0.1861 5.9088
6.6122 2.8143 6.7757
1.0755 1.5156 0.4379
8.9066 4.6652 11.3796
```

Peak list (10 most intense, 2θ = 15–90°, by angle)
two_theta, I (rel.)
28.51, 50
28.58, 98
28.75, 49
33.15, 100
47.42, 25
47.54, 12
47.67, 24
56.39, 45
56.62, 22
59.06, 13


Computed XRD peak list of KRb2TiI6 for Cu Ka, from a structure optimized by DFT (GGA-PBE).

Atomic structure:
```
KRb2TiI6
1.0
4.4450 2.5663 6.7959
-4.4450 2.5663 6.7959
0.0000 -5.1327 6.7959
K Rb Ti I
1 2 1 6
Cartesian
0.0000 0.0000 0.0000
0.0000 0.0000 5.4666
0.0000 0.0000 14.9210
0.0000 0.0000 10.1938
-2.2891 0.4360 8.5675
-1.5221 -1.7644 11.8201
0.7670 -2.2004 8.5675
-0.7670 2.2004 11.8201
1.5221 1.7644 8.5675
2.2891 -0.4360 11.8201
```

Peak list (10 most intense, 2θ = 15–90°, by angle)
two_theta, I (rel.)
23.92, 100
24.72, 58
26.23, 39
29.07, 65
31.04, 35
35.52, 18
37.99, 32
42.56, 44
44.91, 21
55.02, 26


Computed XRD peak list of Te2HRhAu for Cu Ka, from a structure optimized by DFT (GGA-PBE).

Atomic structure:
```
Te2HRhAu
1.0
4.0124 0.0000 0.0000
-1.2510 4.1864 0.0000
-1.5063 -1.1894 6.1961
Te H Rh Au
2 1 1 1
Cartesian
0.0000 0.0000 0.0000
0.0596 1.8785 2.5855
-0.6072 1.2469 6.0840
1.9943 1.7082 0.7703
0.9954 -0.0711 4.2020
```

Peak list (10 most intense, 2θ = 15–90°, by angle)
two_theta, I (rel.)
23.61, 34
24.09, 27
24.40, 96
28.22, 62
31.69, 58
32.75, 33
37.66, 100
42.95, 50
46.98, 31
49.28, 33


Computed XRD peak list of EuHoSnBi for Cu Ka, from a structure optimized by DFT (GGA-PBE).

Atomic structure:
```
EuHoSnBi
1.0
7.8153 0.0000 0.0000
0.0000 7.8153 0.0000
0.0000 0.0000 7.8153
Eu Ho Sn Bi
4 4 4 4
Cartesian
0.0000 0.0000 0.0000
0.0000 3.9077 3.9077
3.9077 0.0000 3.9077
3.9077 3.9077 0.0000
0.0000 0.0000 3.9077
0.0000 3.9077 0.0000
3.9077 0.0000 0.0000
3.9077 3.9077 3.9077
1.9538 1.9538 1.9538
1.9538 5.8615 5.8615
5.8615 1.9538 5.8615
5.8615 5.8615 1.9538
1.9538 1.9538 5.8615
1.9538 5.8615 1.9538
5.8615 1.9538 1.9538
5.8615 5.8615 5.8615
```

Peak list (10 most intense, 2θ = 15–90°, by angle)
two_theta, I (rel.)
19.67, 4
32.40, 100
38.19, 2
46.48, 19
50.93, 1
57.80, 39
61.67, 1
67.84, 12
77.20, 17
86.22, 4


Computed XRD peak list of CsNaU2I8 for Cu Ka, from a structure optimized by DFT (GGA-PBE).

Atomic structure:
```
CsNaU2I8
1.0
8.2286 0.0000 0.0000
-4.1143 7.1262 0.0000
0.0000 0.0000 9.5029
Cs Na U I
1 1 2 8
Cartesian
0.0000 0.0000 0.0000
0.0000 0.0000 4.7515
0.0000 4.7508 3.9304
4.1143 2.3754 5.5725
-0.9947 2.6360 6.2421
-1.3341 6.6696 6.2421
0.0000 4.7508 0.8738
1.7856 2.1794 3.2608
2.3288 4.9468 6.2421
4.1143 2.3754 8.6292
5.4484 0.4566 3.2608
5.1090 4.4902 3.2608
```

Peak list (10 most intense, 2θ = 15–90°, by angle)
two_theta, I (rel.)
15.54, 53
21.60, 43
23.56, 64
26.72, 64
28.70, 100
30.89, 44
34.61, 40
37.88, 77
38.01, 33
44.14, 53


Computed XRD peak list of Tl2In5Bi2 for Cu Ka, from a structure optimized by DFT (GGA-PBE).

Atomic structure:
```
Tl2In5Bi2
1.0
5.8247 0.0000 0.0000
-0.8523 6.5780 0.0000
-1.0443 -1.4487 7.1536
Tl In Bi
2 5 2
Cartesian
0.2570 1.2400 3.1202
3.6711 3.8893 4.0335
0.0000 0.0000 0.0000
0.0648 1.4074 6.5445
0.7916 4.4275 5.6793
3.1364 0.7018 1.4744
3.8632 3.7219 0.6091
0.7699 4.5228 2.2986
3.1581 0.6065 4.8550
```

Peak list (10 most intense, 2θ = 15–90°, by angle)
two_theta, I (rel.)
27.67, 15
28.01, 33
29.34, 13
31.43, 11
31.68, 100
32.31, 37
33.53, 12
35.81, 24
39.16, 34
46.18, 12


Computed XRD peak list of Ca2SmScSe4 for Cu Ka, from a structure optimized by DFT (GGA-PBE).

Atomic structure:
```
Ca2SmScSe4
1.0
7.0715 0.0000 0.0000
0.0000 4.0861 0.0000
-2.3616 0.0000 6.8071
Ca Sm Sc Se
2 1 1 4
Cartesian
0.0000 0.0000 0.0000
3.5357 2.0431 0.0000
-1.1808 2.0431 3.4035
2.3550 0.0000 3.4035
0.0734 0.0000 5.0808
1.2510 2.0431 1.7804
3.4589 2.0431 5.0267
4.6366 0.0000 1.7263
```

Peak list (10 most intense, 2θ = 15–90°, by angle)
two_theta, I (rel.)
30.75, 100
43.73, 37
44.36, 35
53.87, 6
54.94, 18
64.05, 11
72.27, 15
73.18, 15
81.22, 11
81.66, 6


Computed XRD peak list of La5Si3 for Cu Ka, from a structure optimized by DFT (GGA-PBE).

Atomic structure:
```
La5Si3
1.0
7.9487 0.0000 0.0000
0.0000 7.9487 0.0000
0.0000 0.0000 14.1758
La Si
20 12
Cartesian
0.5226 4.5973 1.4811
0.5226 7.3256 8.5690
0.6230 4.4970 5.6068
0.6230 7.4260 12.6948
1.9872 1.9872 3.1925
1.9872 1.9872 10.2804
3.3513 4.4970 12.6948
3.3513 7.4260 5.6068
3.4517 4.5973 8.5690
3.4517 7.3256 1.4811
4.4970 0.6230 12.6948
4.4970 3.3513 5.6068
4.5973 0.5226 8.5690
4.5973 3.4517 1.4811
5.9615 5.9615 3.8954
5.9615 5.9615 10.9834
7.3256 0.5226 1.4811
7.3256 3.4517 8.5690
7.4260 0.6230 5.6068
7.4260 3.3513 12.6948
1.0851 5.0595 10.6319
1.0851 6.8635 3.5440
1.9872 1.9872 0.0237
1.9872 1.9872 7.1116
2.8892 5.0595 3.5440
2.8892 6.8635 10.6319
5.0595 1.0851 3.5440
5.0595 2.8892 10.6319
5.9615 5.9615 7.0642
5.9615 5.9615 14.1521
6.8635 1.0851 10.6319
6.8635 2.8892 3.5440
```

Peak list (10 most intense, 2θ = 15–90°, by angle)
two_theta, I (rel.)
25.70, 21
25.84, 42
31.49, 100
31.84, 22
33.89, 52
35.72, 43
47.60, 19
51.18, 30
51.97, 19
55.48, 21